Record 1
# La2Dy2Tl3
Simulated X-ray diffraction stick pattern, Cu Kα, 1.54184 Å. Input: a structure optimized by DFT (GGA-PBE).
Intensities are scaled so that the largest is 100.

Crystal structure
Cell lengths 16.7598, 16.7598, 3.6099 Å; angles 90.00, 90.00, 167.77 degrees
Fractional positions:
1 La 0.0708 0.9292 0.0000
2 La 0.9292 0.0708 0.0000
3 Dy 0.2039 0.7961 0.0000
4 Dy 0.7961 0.2039 0.0000
5 Tl 0.3584 0.6416 0.5000
6 Tl 0.5000 0.5000 0.5000
7 Tl 0.6416 0.3584 0.5000

Top 10 peaks for 15° ≤ 2θ ≤ 90°, low angle first:
2θ/deg	I (rel.)
29.51	34
31.32	100
32.83	57
35.47	67
37.79	26
50.58	23
51.18	14
54.92	33
60.70	31
62.15	19

---

Record 2
# La5DyTl2
Simulated X-ray diffraction stick pattern, Cu Kα, 1.54184 Å. Input: a structure optimized by DFT (GGA-PBE).
Intensities are scaled so that the largest is 100.

Crystal structure
Cell lengths 5.6662, 5.6662, 20.5621 Å; angles 90.00, 90.00, 120.00 degrees
Fractional positions:
1 La 0.0000 0.0000 0.1606
2 La 0.0000 0.0000 0.3394
3 La 0.0000 0.0000 0.6606
4 La 0.0000 0.0000 0.8394
5 La 0.3333 0.6667 0.0621
6 La 0.3333 0.6667 0.2500
7 La 0.3333 0.6667 0.4379
8 La 0.6667 0.3333 0.5621
9 La 0.6667 0.3333 0.7500
10 La 0.6667 0.3333 0.9379
11 Dy 0.3333 0.6667 0.7500
12 Dy 0.6667 0.3333 0.2500
13 Tl 0.3333 0.6667 0.5976
14 Tl 0.3333 0.6667 0.9024
15 Tl 0.6667 0.3333 0.0976
16 Tl 0.6667 0.3333 0.4024

Top 10 peaks for 15° ≤ 2θ ≤ 90°, low angle first:
2θ/deg	I (rel.)
18.08	11
26.00	11
31.58	100
31.85	59
35.62	17
41.35	20
45.47	22
56.24	20
56.41	23
65.94	12